Record 1
# PrMgMn2O6
Simulated XRD peak list, Cu Kα. Input: a GGA+U-relaxed structure.
Neutral-atom scattering factors, no anomalous dispersion.

Atomic structure:
a b c (Å): 7.6531 5.4710 5.3030
angles (deg): 90.00 90.00 90.00
Fractional coordinates of all 20 atoms:
1 Pr 0.0000 0.2073 0.0000
2 Pr 0.5000 0.7927 0.5000
3 Mg 0.0000 0.6904 0.4663
4 Mg 0.5000 0.3096 0.9663
5 Mn 0.2486 0.7477 0.9894
6 Mn 0.2514 0.2523 0.4894
7 Mn 0.7486 0.2523 0.4894
8 Mn 0.7514 0.7477 0.9894
9 O 0.0000 0.2964 0.5674
10 O 0.0000 0.7713 0.8643
11 O 0.1926 0.9463 0.2966
12 O 0.1967 0.4742 0.2127
13 O 0.3033 0.5258 0.7127
14 O 0.3074 0.0537 0.7966
15 O 0.5000 0.2287 0.3643
16 O 0.5000 0.7036 0.0674
17 O 0.6926 0.0537 0.7966
18 O 0.6967 0.5258 0.7127
19 O 0.8033 0.4742 0.2127
20 O 0.8074 0.9463 0.2966

Largest 10 diffraction maxima, in order of falling intensity, 10° ≤ 2θ ≤ 90°:
2θ/deg, I (rel.)
33.19, 100
20.37, 36
19.95, 35
47.77, 27
60.09, 23
32.74, 22
33.81, 21
38.90, 21
39.56, 19
47.52, 15


Record 2
# MgVAg3O4
Simulated XRD peak list, Cu Kα. Input: a GGA+U-relaxed structure.
Neutral-atom scattering factors, no anomalous dispersion.

Atomic structure:
a b c (Å): 5.9919 5.9919 5.9919
angles (deg): 126.67 119.62 84.75
Fractional coordinates of all 9 atoms:
1 Mg 0.0000 0.0000 0.0000
2 V 0.0000 0.5000 0.5000
3 Ag 0.3393 0.3393 0.0000
4 Ag 0.5000 0.0000 0.5000
5 Ag 0.6607 0.6607 0.0000
6 O 0.0352 0.6148 0.8810
7 O 0.2662 0.3852 0.4205
8 O 0.7338 0.1543 0.1190
9 O 0.9648 0.8457 0.5795

Largest 10 diffraction maxima, in order of falling intensity, 10° ≤ 2θ ≤ 90°:
2θ/deg, I (rel.)
30.06, 100
29.65, 68
46.27, 60
34.67, 58
45.20, 50
17.81, 45
33.32, 39
46.88, 36
38.03, 30
48.21, 19


Record 3
# ZnWO2
Simulated XRD peak list, Cu Kα. Input: a GGA+U-relaxed structure.
Neutral-atom scattering factors, no anomalous dispersion.

Atomic structure:
a b c (Å): 3.2574 8.2874 9.6144
angles (deg): 65.23 88.91 89.03
Fractional coordinates of all 16 atoms:
1 Zn 0.2148 0.1697 0.3024
2 Zn 0.2773 0.0938 0.6450
3 Zn 0.7227 0.9062 0.3550
4 Zn 0.7852 0.8303 0.6976
5 W 0.2512 0.8109 0.0324
6 W 0.2524 0.5499 0.6320
7 W 0.7476 0.4501 0.3680
8 W 0.7488 0.1891 0.9676
9 O 0.2131 0.2489 0.0701
10 O 0.2427 0.3556 0.5357
11 O 0.2592 0.0837 0.8782
12 O 0.2772 0.5767 0.2200
13 O 0.7228 0.4233 0.7800
14 O 0.7408 0.9163 0.1218
15 O 0.7573 0.6444 0.4643
16 O 0.7869 0.7511 0.9299

Largest 10 diffraction maxima, in order of falling intensity, 10° ≤ 2θ ≤ 90°:
2θ/deg, I (rel.)
11.88, 100
30.73, 99
35.35, 86
47.05, 83
29.53, 77
33.26, 77
34.75, 76
18.51, 72
36.20, 71
33.07, 53


Record 4
# Li5Mn3O8
Simulated XRD peak list, Cu Kα. Input: a GGA+U-relaxed structure.
Neutral-atom scattering factors, no anomalous dispersion.

Atomic structure:
a b c (Å): 2.9261 5.0750 10.1853
angles (deg): 100.20 91.99 104.57
Fractional coordinates of all 16 atoms:
1 Li 0.0000 0.0000 0.0000
2 Li 0.2343 0.5023 0.8904
3 Li 0.2388 0.4861 0.3733
4 Li 0.7612 0.5139 0.6267
5 Li 0.7657 0.4977 0.1096
6 Mn 0.0000 0.0000 0.5000
7 Mn 0.4960 0.0096 0.7603
8 Mn 0.5040 0.9904 0.2397
9 O 0.0874 0.2207 0.6898
10 O 0.0975 0.2139 0.1958
11 O 0.3506 0.7707 0.5677
12 O 0.3795 0.7586 0.0779
13 O 0.6205 0.2414 0.9221
14 O 0.6494 0.2293 0.4323
15 O 0.9025 0.7861 0.8042
16 O 0.9126 0.7793 0.3102

Largest 10 diffraction maxima, in order of falling intensity, 10° ≤ 2θ ≤ 90°:
2θ/deg, I (rel.)
18.41, 100
42.34, 35
44.44, 32
43.92, 30
62.39, 17
36.62, 13
35.20, 13
17.76, 12
35.96, 12
23.05, 9


Record 5
# Li5Mn3O8
Simulated XRD peak list, Cu Kα. Input: a GGA+U-relaxed structure.
Neutral-atom scattering factors, no anomalous dispersion.

Atomic structure:
a b c (Å): 19.6084 19.6084 19.6084
angles (deg): 8.71 8.71 8.71
Fractional coordinates of all 16 atoms:
1 Li 0.0000 0.0000 0.0000
2 Li 0.1252 0.1252 0.1252
3 Li 0.3696 0.3696 0.3696
4 Li 0.6304 0.6304 0.6304
5 Li 0.8748 0.8748 0.8748
6 Mn 0.2500 0.2500 0.2500
7 Mn 0.5000 0.5000 0.5000
8 Mn 0.7500 0.7500 0.7500
9 O 0.0664 0.0664 0.0664
10 O 0.1859 0.1859 0.1859
11 O 0.3122 0.3122 0.3122
12 O 0.4358 0.4358 0.4358
13 O 0.5642 0.5642 0.5642
14 O 0.6878 0.6878 0.6878
15 O 0.8141 0.8141 0.8141
16 O 0.9336 0.9336 0.9336

Largest 10 diffraction maxima, in order of falling intensity, 10° ≤ 2θ ≤ 90°:
2θ/deg, I (rel.)
42.88, 100
18.17, 98
35.33, 39
62.35, 28
62.17, 25
56.62, 17
13.60, 15
65.53, 14
46.93, 13
78.65, 12


Record 6
# RbMnPO4
Simulated XRD peak list, Cu Kα. Input: a GGA+U-relaxed structure.
Neutral-atom scattering factors, no anomalous dispersion.

Atomic structure:
a b c (Å): 9.0981 5.5242 9.3598
angles (deg): 90.00 90.35 90.00
Fractional coordinates of all 28 atoms:
1 Rb 0.0065 0.0000 0.1997
2 Rb 0.4886 0.4688 0.6896
3 Rb 0.5114 0.9688 0.3104
4 Rb 0.9935 0.5000 0.8003
5 Mn 0.1596 0.0214 0.5680
6 Mn 0.3265 0.4680 0.0927
7 Mn 0.6735 0.9680 0.9073
8 Mn 0.8404 0.5214 0.4320
9 P 0.2071 0.4780 0.4269
10 P 0.2980 0.9701 0.9004
11 P 0.7020 0.4701 0.0996
12 P 0.7929 0.9780 0.5731
13 O 0.0531 0.3894 0.4831
14 O 0.1888 0.0682 0.7860
15 O 0.1946 0.5423 0.2658
16 O 0.2635 0.6997 0.5122
17 O 0.2651 0.6967 0.9283
18 O 0.2758 0.1131 0.0425
19 O 0.3091 0.2563 0.4548
20 O 0.4580 0.0017 0.8461
21 O 0.5420 0.5017 0.1539
22 O 0.6909 0.7563 0.5452
23 O 0.7242 0.6131 0.9575
24 O 0.7349 0.1967 0.0717
25 O 0.7365 0.1997 0.4878
26 O 0.8054 0.0423 0.7342
27 O 0.8112 0.5682 0.2140
28 O 0.9469 0.8894 0.5169

Largest 10 diffraction maxima, in order of falling intensity, 10° ≤ 2θ ≤ 90°:
2θ/deg, I (rel.)
27.12, 100
26.82, 74
32.41, 36
32.97, 32
27.26, 21
27.43, 21
45.47, 18
52.22, 15
51.92, 13
31.05, 13


Record 7
# Li7Mn5O12
Simulated XRD peak list, Cu Kα. Input: a GGA+U-relaxed structure.
Neutral-atom scattering factors, no anomalous dispersion.

Atomic structure:
a b c (Å): 5.0730 2.9995 14.4991
angles (deg): 90.00 92.65 90.00
Fractional coordinates of all 24 atoms:
1 Li 0.0000 0.0000 0.0000
2 Li 0.0000 0.0000 0.5000
3 Li 0.1736 0.5000 0.1677
4 Li 0.3233 0.0000 0.3399
5 Li 0.5000 0.5000 0.5000
6 Li 0.6767 0.0000 0.6601
7 Li 0.8264 0.5000 0.8323
8 Mn 0.1633 0.5000 0.6601
9 Mn 0.3374 0.0000 0.8311
10 Mn 0.5000 0.5000 0.0000
11 Mn 0.6626 0.0000 0.1689
12 Mn 0.8367 0.5000 0.3399
13 O 0.0337 0.0000 0.7444
14 O 0.1453 0.5000 0.4092
15 O 0.1842 0.5000 0.9191
16 O 0.3143 0.0000 0.5937
17 O 0.3533 0.0000 0.0863
18 O 0.4805 0.5000 0.7504
19 O 0.5195 0.5000 0.2496
20 O 0.6467 0.0000 0.9137
21 O 0.6857 0.0000 0.4063
22 O 0.8158 0.5000 0.0809
23 O 0.8547 0.5000 0.5908
24 O 0.9663 0.0000 0.2556

Largest 10 diffraction maxima, in order of falling intensity, 10° ≤ 2θ ≤ 90°:
2θ/deg, I (rel.)
18.28, 100
42.53, 62
35.22, 28
44.58, 26
63.17, 15
63.45, 15
79.40, 10
36.43, 10
61.87, 9
56.22, 9


Record 8
# Na5LuW4O16
Simulated XRD peak list, Cu Kα. Input: a GGA+U-relaxed structure.
Neutral-atom scattering factors, no anomalous dispersion.

Atomic structure:
a b c (Å): 9.9669 9.9669 9.9669
angles (deg): 109.05 109.05 110.31
Fractional coordinates of all 52 atoms:
1 Na 0.1107 0.2731 0.0749
2 Na 0.2269 0.8018 0.8375
3 Na 0.3018 0.9643 0.5749
4 Na 0.3750 0.1250 0.2500
5 Na 0.4643 0.3893 0.6625
6 Na 0.5357 0.6107 0.3375
7 Na 0.6250 0.8750 0.7500
8 Na 0.6982 0.0357 0.4251
9 Na 0.7731 0.1982 0.1625
10 Na 0.8893 0.7269 0.9251
11 Lu 0.1250 0.3750 0.7500
12 Lu 0.8750 0.6250 0.2500
13 W 0.0419 0.0660 0.3423
14 W 0.1996 0.5419 0.4759
15 W 0.2237 0.6996 0.1577
16 W 0.4340 0.2763 0.9759
17 W 0.5660 0.7237 0.0241
18 W 0.7763 0.3004 0.8423
19 W 0.8004 0.4581 0.5241
20 W 0.9581 0.9340 0.6577
21 O 0.0116 0.1583 0.2159
22 O 0.0177 0.5209 0.6539
23 O 0.0209 0.8670 0.5032
24 O 0.0781 0.1563 0.8020
25 O 0.1363 0.4823 0.0032
26 O 0.1458 0.7239 0.3020
27 O 0.1941 0.8287 0.0718
28 O 0.2239 0.4219 0.5782
29 O 0.2569 0.1224 0.4282
30 O 0.2957 0.5116 0.3533
31 O 0.3287 0.7569 0.6346
32 O 0.3417 0.0576 0.8533
33 O 0.3437 0.6458 0.9218
34 O 0.3670 0.3637 0.8461
35 O 0.3776 0.3059 0.1346
36 O 0.4424 0.7957 0.2841
37 O 0.5576 0.2043 0.7159
38 O 0.6224 0.6941 0.8654
39 O 0.6330 0.6363 0.1539
40 O 0.6563 0.3542 0.0782
41 O 0.6583 0.9424 0.1467
42 O 0.6713 0.2431 0.3654
43 O 0.7043 0.4884 0.6467
44 O 0.7431 0.8776 0.5718
45 O 0.7761 0.5781 0.4218
46 O 0.8059 0.1713 0.9282
47 O 0.8542 0.2761 0.6980
48 O 0.8637 0.5177 0.9968
49 O 0.9219 0.8437 0.1980
50 O 0.9791 0.1330 0.4968
51 O 0.9823 0.4791 0.3461
52 O 0.9884 0.8417 0.7841

Largest 10 diffraction maxima, in order of falling intensity, 10° ≤ 2θ ≤ 90°:
2θ/deg, I (rel.)
29.01, 100
18.84, 52
10.90, 46
47.49, 29
58.71, 24
34.68, 21
24.37, 20
29.18, 19
54.46, 15
31.42, 14


Record 9
# Fe2CuO4
Simulated XRD peak list, Cu Kα. Input: a GGA+U-relaxed structure.
Neutral-atom scattering factors, no anomalous dispersion.

Atomic structure:
a b c (Å): 6.0519 6.0519 14.7094
angles (deg): 92.08 92.08 59.10
Fractional coordinates of all 42 atoms:
1 Fe 0.0000 0.0000 0.0000
2 Fe 0.0080 0.0080 0.6185
3 Fe 0.0090 0.5082 0.1230
4 Fe 0.0177 0.0177 0.2427
5 Fe 0.1841 0.6748 0.7891
6 Fe 0.3298 0.3298 0.3361
7 Fe 0.3363 0.8352 0.4553
8 Fe 0.5082 0.0090 0.1230
9 Fe 0.6725 0.6725 0.6638
10 Fe 0.6748 0.1841 0.7891
11 Fe 0.6880 0.6880 0.9118
12 Fe 0.8352 0.3363 0.4553
13 Cu 0.1794 0.1794 0.7898
14 Cu 0.3431 0.3431 0.5796
15 Cu 0.3447 0.3447 0.9561
16 Cu 0.5084 0.5084 0.1226
17 Cu 0.6727 0.6727 0.2897
18 Cu 0.8398 0.8398 0.4543
19 O 0.0078 0.0078 0.8674
20 O 0.0118 0.0118 0.3734
21 O 0.0378 0.5096 0.8705
22 O 0.1577 0.1577 0.5354
23 O 0.1618 0.7018 0.5342
24 O 0.1707 0.1707 0.0501
25 O 0.1865 0.6476 0.0423
26 O 0.3220 0.8494 0.7073
27 O 0.3283 0.3283 0.2040
28 O 0.3447 0.3447 0.7160
29 O 0.3713 0.8294 0.2022
30 O 0.5025 0.5025 0.3814
31 O 0.5096 0.0378 0.8705
32 O 0.5105 0.9780 0.3757
33 O 0.5171 0.5171 0.8621
34 O 0.6476 0.1865 0.0423
35 O 0.6681 0.6681 0.5341
36 O 0.6877 0.6877 0.0422
37 O 0.7018 0.1618 0.5342
38 O 0.8294 0.3713 0.2022
39 O 0.8459 0.8459 0.1946
40 O 0.8494 0.3220 0.7073
41 O 0.8533 0.8533 0.7077
42 O 0.9780 0.5105 0.3757

Largest 10 diffraction maxima, in order of falling intensity, 10° ≤ 2θ ≤ 90°:
2θ/deg, I (rel.)
35.42, 100
35.22, 84
34.30, 79
29.52, 51
61.21, 43
61.32, 42
43.08, 39
56.77, 29
34.39, 25
57.00, 23